# 1
For K4Sn3Se8, the GGA-PBE geometry in Alexandria gives the computed powder diffraction line list in this record (Cu Kα X-rays).
Neutral-atom scattering factors, no anomalous dispersion.

Main lines, by angle (2θ from 5° to 70°):
hkl 1 1 1, 15.23 deg, d = 5.816 Å, rel. 100; hkl 1 7 1, 26.73 deg, d = 3.335 Å, rel. 24; hkl 2 4 1, 26.85 deg, d = 3.321 Å, rel. 53; hkl 1 5 2, 28.56 deg, d = 3.125 Å, rel. 34; hkl 2 0 2, 30.07 deg, d = 2.972 Å, rel. 50; hkl 0 8 2, 33.17 deg, d = 2.701 Å, rel. 84; hkl 3 7 1, 40.61 deg, d = 2.221 Å, rel. 21; hkl 1 7 3, 40.72 deg, d = 2.216 Å, rel. 20; hkl 3 1 3, 45.91 deg, d = 1.977 Å, rel. 25; hkl 2 0 4, 48.48 deg, d = 1.878 Å, rel. 21

Structural model:
Lattice parameters (Å, degrees): 8.425 28.198 8.388 90.00 90.00 90.00
Space group Ccce (No. 68, origin choice 2)
Inequivalent atoms, fractional coordinates:
K (0.000, 0.017, 0.250) [8 per cell]
K (0.000, 0.147, 0.250) [8 per cell]
Sn (0.000, 0.124, 0.750) [8 per cell]
Sn (0.000, 0.250, 0.750) [4 per cell]
Se (0.162, 0.189, 0.588) [16 per cell]
Se (0.180, 0.077, 0.931) [16 per cell]

***

# 2
For Tb7Er4Tm2, the GGA-PBE geometry in Alexandria gives the computed powder diffraction line list in this record (Cu Kα X-rays).
Neutral-atom scattering factors, no anomalous dispersion.

Main lines, by angle (2θ from 5° to 70°):
hkl 0 0 4, 27.36 deg, d = 3.260 Å, rel. 20; hkl 1 1 0, 29.59 deg, d = 3.019 Å, rel. 17; hkl 1 1 1, 30.39 deg, d = 2.941 Å, rel. 42; hkl 1 0 4, 32.36 deg, d = 2.766 Å, rel. 16; hkl 2 -1 2, 32.69 deg, d = 2.739 Å, rel. 100; hkl 0 0 5, 34.37 deg, d = 2.609 Å, rel. 17; hkl 1 1 3, 36.23 deg, d = 2.479 Å, rel. 31; hkl 2 -1 6, 51.84 deg, d = 1.764 Å, rel. 17; hkl 3 0 0, 52.51 deg, d = 1.743 Å, rel. 29; hkl 2 2 2, 63.24 deg, d = 1.470 Å, rel. 14

Structural model:
Lattice parameters (Å, degrees): 6.0373 6.0373 13.0389 90.00 90.00 120.00
Space group P-31m (No. 162)
Inequivalent atoms, fractional coordinates:
Tb (0.0000, 0.0000, 0.0000) [1 per cell]
Tb (0.0000, 0.3632, 0.2177) [6 per cell]
Er (0.0000, 0.0000, 0.3927) [2 per cell]
Er (0.3333, 0.6667, 0.5000) [2 per cell]
Tm (0.3333, 0.6667, 0.0000) [2 per cell]

***

# 3
For HgTe4Pb5, the GGA-PBE geometry in Alexandria gives the computed powder diffraction line list in this record (Cu Kα X-rays).
Neutral-atom scattering factors, no anomalous dispersion.

Main lines, by angle (2θ from 5° to 70°):
hkl 0 0 2, 5.43 deg, d = 16.270 Å, rel. 2; hkl 1 0 1, 19.49 deg, d = 4.554 Å, rel. 1; hkl 1 0 5, 23.69 deg, d = 3.756 Å, rel. 6; hkl 1 1 0, 27.42 deg, d = 3.253 Å, rel. 100; hkl 2 0 0, 39.17 deg, d = 2.300 Å, rel. 79; hkl 1 0 15, 46.28 deg, d = 1.962 Å, rel. 4; hkl 2 0 10, 48.47 deg, d = 1.878 Å, rel. 29; hkl 2 2 0, 56.59 deg, d = 1.626 Å, rel. 14; hkl 2 1 15, 62.20 deg, d = 1.493 Å, rel. 2; hkl 3 1 0, 64.00 deg, d = 1.455 Å, rel. 38

Structural model:
Lattice parameters (Å, degrees): 4.599 4.599 32.540 90.00 90.00 90.00
Space group I4/mmm (No. 139)
Inequivalent atoms, fractional coordinates:
Hg (0.000, 0.000, 0.000) [2 per cell]
Te (0.000, 0.000, 0.198) [4 per cell]
Te (0.000, 0.000, 0.399) [4 per cell]
Pb (0.000, 0.000, 0.099) [4 per cell]
Pb (0.000, 0.000, 0.300) [4 per cell]
Pb (0.000, 0.000, 0.500) [2 per cell]

***

# 4
For Sc2Si3Ni9, the GGA-PBE geometry in Alexandria gives the computed powder diffraction line list in this record (Cu Kα X-rays).
Neutral-atom scattering factors, no anomalous dispersion.

Main lines, by angle (2θ from 5° to 70°):
hkl 4 2 -1, 39.58 deg, d = 2.277 Å, rel. 26; hkl 3 1 2, 41.95 deg, d = 2.154 Å, rel. 83; hkl 0 2 3, 42.10 deg, d = 2.146 Å, rel. 88; hkl 3 1 -4, 42.19 deg, d = 2.142 Å, rel. 98; hkl 4 2 -3, 43.75 deg, d = 2.069 Å, rel. 26; hkl 6 0 -2, 44.87 deg, d = 2.020 Å, rel. 51; hkl 3 3 -1, 44.98 deg, d = 2.015 Å, rel. 100; hkl 3 3 1, 50.43 deg, d = 1.810 Å, rel. 19; hkl 6 0 -4, 50.56 deg, d = 1.805 Å, rel. 28; hkl 0 4 3, 63.36 deg, d = 1.468 Å, rel. 17

Structural model:
Lattice parameters (Å, degrees): 12.121 6.976 9.089 90.00 116.02 90.00
Space group C2/c (No. 15)
Inequivalent atoms, fractional coordinates:
Sc (0.170, 0.084, 0.250) [8 per cell]
Si (0.088, 0.234, 0.500) [8 per cell]
Si (0.250, 0.250, 0.000) [4 per cell]
Ni (0.000, 0.375, 0.250) [4 per cell]
Ni (0.057, 0.084, 0.920) [8 per cell]
Ni (0.100, 0.416, 0.054) [8 per cell]
Ni (0.101, 0.320, 0.748) [8 per cell]
Ni (0.223, 0.416, 0.423) [8 per cell]

***

# 5
For AcTbFe4, the GGA-PBE geometry in Alexandria gives the computed powder diffraction line list in this record (Cu Kα X-rays).
Neutral-atom scattering factors, no anomalous dispersion.

Main lines, by angle (2θ from 5° to 70°):
hkl 1 1 1, 20.58 deg, d = 4.316 Å, rel. 27; hkl 2 0 0, 23.80 deg, d = 3.738 Å, rel. 3; hkl 2 2 0, 33.92 deg, d = 2.643 Å, rel. 74; hkl 3 1 1, 40.00 deg, d = 2.254 Å, rel. 100; hkl 2 2 2, 41.86 deg, d = 2.158 Å, rel. 11; hkl 4 0 0, 48.72 deg, d = 1.869 Å, rel. 2; hkl 3 3 1, 53.42 deg, d = 1.715 Å, rel. 8; hkl 4 2 0, 54.93 deg, d = 1.672 Å, rel. 1; hkl 4 2 2, 60.69 deg, d = 1.526 Å, rel. 29; hkl 5 1 1, 64.80 deg, d = 1.439 Å, rel. 32

Structural model:
Lattice parameters (Å, degrees): 7.476 7.476 7.476 90.00 90.00 90.00
Space group F-43m (No. 216)
Inequivalent atoms, fractional coordinates:
Ac (0.000, 0.000, 0.000) [4 per cell]
Tb (0.250, 0.250, 0.750) [4 per cell]
Fe (0.124, 0.124, 0.376) [16 per cell]

***

# 6
For Er3Sc4Rh4, the GGA-PBE geometry in Alexandria gives the computed powder diffraction line list in this record (Cu Kα X-rays).
Neutral-atom scattering factors, no anomalous dispersion.

Main lines, by angle (2θ from 5° to 70°):
hkl 0 2 0, 21.03 deg, d = 4.225 Å, rel. 25; hkl 0 1 5, 31.89 deg, d = 2.807 Å, rel. 33; hkl 1 2 1, 32.67 deg, d = 2.741 Å, rel. 100; hkl 1 1 4, 35.79 deg, d = 2.509 Å, rel. 96; hkl 0 3 3, 36.69 deg, d = 2.449 Å, rel. 27; hkl 0 2 6, 42.26 deg, d = 2.138 Å, rel. 15; hkl 0 4 0, 42.81 deg, d = 2.113 Å, rel. 17; hkl 0 3 5, 44.28 deg, d = 2.046 Å, rel. 19; hkl 2 0 0, 49.09 deg, d = 1.856 Å, rel. 20; hkl 1 5 4, 65.68 deg, d = 1.422 Å, rel. 39

Structural model:
Lattice parameters (Å, degrees): 3.712 8.450 14.877 90.00 90.00 90.00
Space group Immm (No. 71)
Inequivalent atoms, fractional coordinates:
Er (0.000, 0.000, 0.000) [2 per cell]
Er (0.000, 0.500, 0.108) [4 per cell]
Sc (0.000, 0.311, 0.333) [8 per cell]
Rh (0.000, 0.000, 0.238) [4 per cell]
Rh (0.000, 0.207, 0.500) [4 per cell]

***

# 7
For InIO4, the GGA-PBE geometry in Alexandria gives the computed powder diffraction line list in this record (Cu Kα X-rays).
Neutral-atom scattering factors, no anomalous dispersion.

Main lines, by angle (2θ from 5° to 70°):
hkl 1 1 -1, 28.41 deg, d = 3.142 Å, rel. 100; hkl 1 1 1, 29.54 deg, d = 3.024 Å, rel. 90; hkl 0 0 2, 33.42 deg, d = 2.681 Å, rel. 26; hkl 2 0 0, 33.60 deg, d = 2.667 Å, rel. 26; hkl 0 2 0, 33.74 deg, d = 2.657 Å, rel. 26; hkl 0 2 2, 48.22 deg, d = 1.887 Å, rel. 27; hkl 2 2 0, 48.35 deg, d = 1.882 Å, rel. 27; hkl 1 1 -3, 56.05 deg, d = 1.641 Å, rel. 18; hkl 3 1 -1, 56.29 deg, d = 1.634 Å, rel. 17; hkl 1 3 -1, 57.13 deg, d = 1.612 Å, rel. 17

Structural model:
Lattice parameters (Å, degrees): 5.344 5.314 5.371 90.00 93.31 90.00
Space group P2_1/c (No. 14)
Inequivalent atoms, fractional coordinates:
In (0.000, 0.000, 0.000) [2 per cell]
I (0.500, 0.000, 0.500) [2 per cell]
O (0.168, 0.161, 0.348) [4 per cell]
O (0.343, 0.669, 0.323) [4 per cell]

***

# 8
For Rb2SiGeTe4, the GGA-PBE geometry in Alexandria gives the computed powder diffraction line list in this record (Cu Kα X-rays).
Neutral-atom scattering factors, no anomalous dispersion.

Main lines, by angle (2θ from 5° to 70°):
hkl 0 1 0, 9.09 deg, d = 9.733 Å, rel. 32; hkl 0 2 0, 18.23 deg, d = 4.866 Å, rel. 28; hkl 2 1 0, 19.65 deg, d = 4.517 Å, rel. 100; hkl 0 0 2, 24.72 deg, d = 3.601 Å, rel. 78; hkl 2 2 0, 25.30 deg, d = 3.521 Å, rel. 37; hkl 2 2 1, 28.21 deg, d = 3.163 Å, rel. 34; hkl 0 3 1, 30.21 deg, d = 2.958 Å, rel. 49; hkl 2 1 2, 31.78 deg, d = 2.816 Å, rel. 36; hkl 2 3 0, 32.71 deg, d = 2.737 Å, rel. 33; hkl 4 0 0, 35.19 deg, d = 2.550 Å, rel. 32

Structural model:
Lattice parameters (Å, degrees): 10.200 9.733 7.202 90.00 90.00 90.00
Space group Pmn2_1 (No. 31)
Inequivalent atoms, fractional coordinates:
Rb (0.249, 0.158, 0.000) [4 per cell]
Si (0.000, 0.361, 0.556) [2 per cell]
Ge (0.000, 0.666, 0.033) [2 per cell]
Te (0.000, 0.406, 0.909) [2 per cell]
Te (0.000, 0.599, 0.405) [2 per cell]
Te (0.209, 0.227, 0.494) [4 per cell]

***

# 9
For Sr3Sb2, the GGA-PBE geometry in Alexandria gives the computed powder diffraction line list in this record (Cu Kα X-rays).
Neutral-atom scattering factors, no anomalous dispersion.

Main lines, by angle (2θ from 5° to 70°):
hkl 1 1 1, 19.04 deg, d = 4.661 Å, rel. 35; hkl 4 0 1, 20.97 deg, d = 4.236 Å, rel. 24; hkl 1 1 -2, 22.35 deg, d = 3.977 Å, rel. 38; hkl 4 0 -2, 22.62 deg, d = 3.930 Å, rel. 26; hkl 6 0 0, 28.55 deg, d = 3.127 Å, rel. 38; hkl 3 1 -3, 30.00 deg, d = 2.978 Å, rel. 97; hkl 3 1 3, 32.17 deg, d = 2.783 Å, rel. 100; hkl 0 2 0, 33.85 deg, d = 2.648 Å, rel. 57; hkl 7 1 -2, 39.09 deg, d = 2.305 Å, rel. 38; hkl 6 2 0, 44.85 deg, d = 2.021 Å, rel. 22

Structural model:
Lattice parameters (Å, degrees): 18.865 5.296 12.345 90.00 96.02 90.00
Space group C2/m (No. 12)
Inequivalent atoms, fractional coordinates:
Sr (0.000, 0.000, 0.000) [2 per cell]
Sr (0.020, 0.000, 0.661) [4 per cell]
Sr (0.137, 0.500, 0.301) [4 per cell]
Sr (0.172, 0.500, 0.982) [4 per cell]
Sr (0.196, 0.500, 0.638) [4 per cell]
Sb (0.033, 0.500, 0.812) [4 per cell]
Sb (0.144, 0.000, 0.488) [4 per cell]
Sb (0.178, 0.000, 0.141) [4 per cell]

***

# 10
For TaPbF7, the GGA-PBE geometry in Alexandria gives the computed powder diffraction line list in this record (Cu Kα X-rays).
Neutral-atom scattering factors, no anomalous dispersion.

Main lines, by angle (2θ from 5° to 70°):
hkl 0 2 0, 23.96 deg, d = 3.714 Å, rel. 64; hkl 1 1 -1, 24.40 deg, d = 3.648 Å, rel. 100; hkl 1 1 1, 25.75 deg, d = 3.460 Å, rel. 90; hkl 0 0 2, 25.89 deg, d = 3.441 Å, rel. 29; hkl 0 1 2, 28.59 deg, d = 3.122 Å, rel. 24; hkl 1 3 -1, 42.41 deg, d = 2.131 Å, rel. 19; hkl 1 3 1, 43.25 deg, d = 2.092 Å, rel. 34; hkl 2 2 0, 43.68 deg, d = 2.072 Å, rel. 28; hkl 2 1 -2, 44.97 deg, d = 2.016 Å, rel. 17; hkl 0 4 0, 49.06 deg, d = 1.857 Å, rel. 27

Structural model:
Lattice parameters (Å, degrees): 5.007 7.427 6.900 90.00 94.15 90.00
Space group P2_1/m (No. 11)
Inequivalent atoms, fractional coordinates:
Ta (0.032, 0.250, 0.219) [2 per cell]
Pb (0.493, 0.250, 0.680) [2 per cell]
F (0.096, 0.750, 0.511) [2 per cell]
F (0.151, 0.750, 0.048) [2 per cell]
F (0.171, 0.529, 0.786) [4 per cell]
F (0.302, 0.079, 0.361) [4 per cell]
F (0.324, 0.250, 0.050) [2 per cell]

***

# 11
For Nd2Y3Ho6Th, the GGA-PBE geometry in Alexandria gives the computed powder diffraction line list in this record (Cu Kα X-rays).
Neutral-atom scattering factors, no anomalous dispersion.

Main lines, by angle (2θ from 5° to 70°):
hkl 0 0 1, 7.61 deg, d = 11.616 Å, rel. 13; hkl 1 3 1, 30.65 deg, d = 2.917 Å, rel. 100; hkl 0 0 4, 30.79 deg, d = 2.904 Å, rel. 33; hkl 2 0 2, 35.58 deg, d = 2.523 Å, rel. 67; hkl 0 6 0, 51.10 deg, d = 1.787 Å, rel. 24; hkl 1 3 5, 51.29 deg, d = 1.781 Å, rel. 24; hkl 4 0 0, 60.78 deg, d = 1.524 Å, rel. 14; hkl 3 3 3, 60.86 deg, d = 1.522 Å, rel. 28; hkl 2 0 6, 61.02 deg, d = 1.518 Å, rel. 14; hkl 2 6 2, 63.84 deg, d = 1.458 Å, rel. 8

Structural model:
Lattice parameters (Å, degrees): 6.195 10.717 11.798 90.00 100.08 90.00
Space group C2/m (No. 12)
Inequivalent atoms, fractional coordinates:
Nd (0.000, 0.167, 0.000) [4 per cell]
Y (0.000, 0.000, 0.500) [2 per cell]
Y (0.000, 0.333, 0.500) [4 per cell]
Ho (0.245, 0.500, 0.750) [4 per cell]
Ho (0.249, 0.335, 0.250) [8 per cell]
Th (0.000, 0.500, 0.000) [2 per cell]

***

# 12
For PuNpGa4, the GGA-PBE geometry in Alexandria gives the computed powder diffraction line list in this record (Cu Kα X-rays).
Neutral-atom scattering factors, no anomalous dispersion.

Main lines, by angle (2θ from 5° to 70°):
hkl 1 0 0, 21.94 deg, d = 4.052 Å, rel. 47; hkl 1 0 2, 36.42 deg, d = 2.467 Å, rel. 100; hkl 1 1 0, 38.48 deg, d = 2.339 Å, rel. 66; hkl 2 0 0, 44.73 deg, d = 2.026 Å, rel. 8; hkl 2 0 2, 54.02 deg, d = 1.697 Å, rel. 33; hkl 0 0 4, 59.46 deg, d = 1.555 Å, rel. 6; hkl 2 1 0, 60.45 deg, d = 1.531 Å, rel. 7; hkl 1 0 4, 64.17 deg, d = 1.451 Å, rel. 6; hkl 2 1 2, 68.27 deg, d = 1.374 Å, rel. 33; hkl 3 0 0, 69.61 deg, d = 1.351 Å, rel. 12

Structural model:
Lattice parameters (Å, degrees): 4.6786 4.6786 6.2184 90.00 90.00 120.00
Space group P6/mmm (No. 191)
Inequivalent atoms, fractional coordinates:
Pu (0.0000, 0.0000, 0.0000) [1 per cell]
Np (0.0000, 0.0000, 0.5000) [1 per cell]
Ga (0.3333, 0.6667, 0.2563) [4 per cell]